Diffraction record for Ho2CdS4. The X-ray diffraction stick pattern is simulated, not measured: it uses DFT lattice parameters and positions (PBE) and λ = 1.5418 Å (Cu Kα).
Peak positions follow from Bragg's law for the DFT cell and can differ from measured ones.

Structure:
```
14
Lattice="-3.957 4.001 5.717 3.957 -4.001 5.717 3.957 4.001 -5.717" Properties=species:S:1:pos:R:3 pbc="T T T"
Ho 0.000 0.000 0.000
Ho 3.957 2.000 1.530
Ho 0.000 4.001 0.000
Ho 0.000 2.000 4.187
Cd 1.979 2.000 -2.858
Cd 1.979 -2.000 2.858
S 3.957 3.844 -2.982
S 3.957 -0.156 2.982
S 1.864 2.000 -0.014
S 2.093 -2.000 5.702
S 1.864 6.001 0.014
S 2.093 2.000 5.731
S 0.000 4.157 2.735
S 0.000 0.156 8.699
```

Main lines, sorted by position (10 to 80 degrees two-theta):
| 2theta | I (rel.) |
| --- | --- |
| 22.17 | 62 |
| 25.93 | 91 |
| 26.15 | 100 |
| 26.31 | 71 |
| 41.61 | 41 |
| 45.22 | 98 |